No. 1
Calculated PXRD pattern of GaHO2 for Cu Kα, from a cell relaxed with GGA-PBE.
Kinematic intensities with the Lorentz-polarization factor, no thermal factor.

Top 8 peaks for 2θ from 10° to 90°, sorted by position:
2θ 19.3, rel. 30.7, hkl 1 1 1
2θ 29.6, rel. 76.1, hkl 2 2 0
2θ 31.1, rel. 100.0, hkl 0 2 2
2θ 34.4, rel. 22.4, hkl 2 0 2
2θ 46.9, rel. 43.8, hkl 3 3 1
2θ 51.2, rel. 61.4, hkl 0 0 4
2θ 60.3, rel. 30.4, hkl 2 2 4
2θ 62.7, rel. 35.4, hkl 0 6 2

Atomic structure:
a = 7.669 Å, b = 9.777 Å, c = 7.128 Å
α = 90.00°, β = 90.00°, γ = 90.00°
Space group Fdd2 (No. 43)
Unique sites:
Ga 0.054 0.253 0.000 x16
H 0.032 0.106 0.263 x16
O 0.002 0.365 0.244 x16
O 0.118 0.123 0.362 x16

---

No. 2
Calculated PXRD pattern of Ca4Al6SO16 for Cu Kα, from a cell relaxed with GGA-PBE.
Kinematic intensities with the Lorentz-polarization factor, no thermal factor.

Top 8 peaks for 2θ from 10° to 90°, sorted by position:
2θ 23.4, rel. 100.0, hkl 2 1 1
2θ 27.0, rel. 10.9, hkl 2 0 2
2θ 33.3, rel. 27.9, hkl 2 2 2
2θ 36.0, rel. 11.2, hkl 1 3 2
2θ 41.1, rel. 41.3, hkl 1 4 1
2θ 49.9, rel. 11.4, hkl 4 3 1
2θ 61.3, rel. 16.1, hkl 3 2 5
2θ 68.2, rel. 11.4, hkl 6 3 1

Atomic structure:
a = 9.322 Å, b = 9.322 Å, c = 9.338 Å
α = 90.00°, β = 90.00°, γ = 90.00°
Space group I-4 (No. 82)
Unique sites:
Ca 0.206 0.284 0.460 x8
Al 0.000 0.000 0.000 x2
Al 0.000 0.000 0.500 x2
Al 0.002 0.250 0.751 x8
S 0.000 0.500 0.250 x2
O 0.002 0.369 0.341 x8
O 0.051 0.848 0.599 x8
O 0.057 0.154 0.905 x8
O 0.153 0.655 0.804 x8

---

No. 3
Calculated PXRD pattern of LuTaO4 for Cu Kα, from a cell relaxed with GGA-PBE.
Kinematic intensities with the Lorentz-polarization factor, no thermal factor.

Top 8 peaks for 2θ from 10° to 90°, sorted by position:
2θ 28.6, rel. 100.0, hkl 0 2 1
2θ 30.5, rel. 83.9, hkl 2 2 -1
2θ 32.9, rel. 22.9, hkl 0 4 0
2θ 34.2, rel. 24.1, hkl 2 0 0
2θ 35.7, rel. 19.4, hkl 2 0 -2
2θ 47.8, rel. 17.3, hkl 0 0 2
2θ 48.2, rel. 25.1, hkl 2 4 0
2θ 49.3, rel. 24.5, hkl 2 4 -2

Atomic structure:
a = 6.947 Å, b = 10.888 Å, c = 5.054 Å
α = 90.00°, β = 131.09°, γ = 90.00°
Space group C2/c (No. 15)
Unique sites:
Lu 0.000 0.132 0.250 x4
Ta 0.000 0.397 0.750 x4
O 0.162 0.289 0.660 x8
O 0.248 0.468 0.220 x8

---

No. 4
Calculated PXRD pattern of Si for Cu Kα, from a cell relaxed with GGA-PBE.
Kinematic intensities with the Lorentz-polarization factor, no thermal factor.

Top 8 peaks for 2θ from 10° to 90°, sorted by position:
2θ 36.6, rel. 66.3, hkl 2 0 0
2θ 38.2, rel. 24.5, hkl 1 1 3
2θ 38.6, rel. 43.2, hkl 0 0 4
2θ 38.8, rel. 100.0, hkl 0 2 2
2θ 54.2, rel. 30.8, hkl 2 0 4
2θ 54.4, rel. 71.9, hkl 2 2 2
2θ 81.7, rel. 13.0, hkl 2 2 6
2θ 82.1, rel. 10.8, hkl 2 4 0

Atomic structure:
a = 4.915 Å, b = 5.345 Å, c = 9.327 Å
α = 90.00°, β = 90.00°, γ = 90.00°
Space group Fmmm (No. 69)
Unique sites:
Si 0.000 0.000 0.221 x8
Si 0.000 0.229 0.500 x8